No. 1
Computed powder X-ray diffraction pattern
Compound: BaCaZn2Cu
Radiation: Cu Kα X-rays
Structure: a PBE-relaxed structure
Lines closer than 0.1° are merged.

Largest 12 diffraction maxima, by intensity, 15 to 90 degrees two-theta:
- 30.49°, 2.932 Å, intensity 1000
- 36.05°, 2.491 Å, intensity 772
- 24.55°, 3.627 Å, intensity 701
- 50.32°, 1.813 Å, intensity 575
- 33.90°, 2.645 Å, intensity 458
- 44.10°, 2.053 Å, intensity 295
- 63.45°, 1.466 Å, intensity 277
- 51.91°, 1.761 Å, intensity 262
- 61.40°, 1.510 Å, intensity 257
- 58.55°, 1.576 Å, intensity 173
- 25.28°, 3.523 Å, intensity 134
- 82.61°, 1.168 Å, intensity 128

Crystal structure
```
5
Lattice="4.9822 0.0000 0.0000 0.0000 4.9822 0.0000 0.0000 0.0000 5.2892" Properties=species:S:1:pos:R:3 pbc="T T T"
Ba 0.0000 0.0000 0.0000
Ca 2.4911 2.4911 0.0000
Zn 0.0000 2.4911 2.6446
Zn 2.4911 0.0000 2.6446
Cu 2.4911 2.4911 2.6446
```

No. 2
Computed powder X-ray diffraction pattern
Compound: BaCaDy
Radiation: Cu Kα X-rays
Structure: a PBE-relaxed structure
Lines closer than 0.1° are merged.

Largest 12 diffraction maxima, by intensity, 15 to 90 degrees two-theta:
- 28.14°, 3.171 Å, intensity 1000
- 32.47°, 2.757 Å, intensity 691
- 27.68°, 3.223 Å, intensity 308
- 55.32°, 1.661 Å, intensity 262
- 46.29°, 1.961 Å, intensity 246
- 46.88°, 1.938 Å, intensity 222
- 54.78°, 1.676 Å, intensity 166
- 55.58°, 1.654 Å, intensity 147
- 58.19°, 1.585 Å, intensity 129
- 75.60°, 1.258 Å, intensity 119
- 77.84°, 1.227 Å, intensity 110
- 26.56°, 3.357 Å, intensity 105

Crystal structure
```
3
Lattice="3.8758 0.0000 0.0000 -1.9379 3.3566 0.0000 0.0000 0.0000 9.6684" Properties=species:S:1:pos:R:3 pbc="T T T"
Ba 0.0000 0.0000 0.0000
Ca 0.0000 2.2377 6.1677
Dy 1.9379 1.1189 3.2212
```

No. 3
Computed powder X-ray diffraction pattern
Compound: BaCaDy2F10
Radiation: Cu Kα X-rays
Structure: a PBE-relaxed structure
Lines closer than 0.1° are merged.

Largest 12 diffraction maxima, by intensity, 15 to 90 degrees two-theta:
- 25.95°, 3.433 Å, intensity 1000
- 43.96°, 2.060 Å, intensity 732
- 24.49°, 3.635 Å, intensity 649
- 42.13°, 2.145 Å, intensity 623
- 34.84°, 2.575 Å, intensity 536
- 28.11°, 3.174 Å, intensity 326
- 29.41°, 3.037 Å, intensity 318
- 53.38°, 1.716 Å, intensity 316
- 46.64°, 1.948 Å, intensity 241
- 61.00°, 1.519 Å, intensity 171
- 50.19°, 1.818 Å, intensity 169
- 73.55°, 1.288 Å, intensity 152

Crystal structure
```
14
Lattice="3.4379 -3.8950 0.0000 3.4379 3.8950 0.0000 -0.4121 0.0000 7.2708" Properties=species:S:1:pos:R:3 pbc="T T T"
Ba 0.0000 0.0000 0.0000
Ca 3.4379 0.0000 0.0000
Dy 1.5129 1.9475 3.6354
Dy 1.5129 -1.9475 3.6354
F -0.2060 0.0000 3.6354
F 1.7189 1.9475 0.0000
F 3.2507 1.9569 2.1452
F 3.2130 1.9569 5.1257
F 1.5782 0.0000 5.4292
F 1.7189 -1.9475 0.0000
F 3.2318 0.0000 3.6354
F 4.8855 0.0000 1.8416
F 3.2507 -1.9569 2.1452
F 3.2130 -1.9569 5.1257
```

No. 4
Computed powder X-ray diffraction pattern
Compound: BaCa2DyTl4
Radiation: Cu Kα X-rays
Structure: a PBE-relaxed structure
Lines closer than 0.1° are merged.

Largest 12 diffraction maxima, by intensity, 15 to 90 degrees two-theta:
- 32.19°, 2.781 Å, intensity 1000
- 31.40°, 2.849 Å, intensity 948
- 56.90°, 1.618 Å, intensity 354
- 45.58°, 1.990 Å, intensity 340
- 22.34°, 3.980 Å, intensity 284
- 57.39°, 1.606 Å, intensity 194
- 19.47°, 4.559 Å, intensity 151
- 76.19°, 1.250 Å, intensity 151
- 55.39°, 1.659 Å, intensity 141
- 67.34°, 1.390 Å, intensity 120
- 74.90°, 1.268 Å, intensity 113
- 65.53°, 1.425 Å, intensity 80

Crystal structure
```
8
Lattice="2.7810 1.6056 9.4225 -2.7810 1.6056 9.4225 0.0000 -3.2112 9.4225" Properties=species:S:1:pos:R:3 pbc="T T T"
Ba 0.0000 0.0000 0.0000
Ca 0.0000 0.0000 6.9640
Ca 0.0000 0.0000 21.3034
Dy 0.0000 0.0000 14.1337
Tl 0.0000 0.0000 3.6135
Tl 0.0000 0.0000 10.9179
Tl 0.0000 0.0000 17.3495
Tl 0.0000 0.0000 24.6538
```